1.
This entry pairs a crystal structure of Sr10Fe5Mo4WO30 with its simulated powder diffraction line list. Radiation: a wavelength of 1.5418 Å. Structure: a structure optimized by DFT (PBE+U).

Unit cell a=5.6642 b=8.0530 c=14.9339 alpha=105.63 beta=99.67 gamma=90.03
Fractional positions:
Sr  0.0009  0.2429  0.0004
Sr  0.1977  0.9503  0.3995
Sr  0.2018  0.4497  0.4007
Sr  0.3986  0.1441  0.7961
Sr  0.4019  0.6532  0.7970
Sr  0.5981  0.3468  0.2030
Sr  0.6014  0.8559  0.2039
Sr  0.7982  0.5503  0.5993
Sr  0.8023  0.0497  0.6005
Sr  0.9991  0.7571  0.9996
Fe  0.1037  0.6005  0.2010
Fe  0.3000  0.7998  0.5996
Fe  0.5000  0.0000  0.0000
Fe  0.7000  0.2002  0.4004
Fe  0.8963  0.3995  0.7990
Mo  0.0981  0.0995  0.2001
Mo  0.2988  0.3002  0.6000
Mo  0.7012  0.6998  0.4000
Mo  0.9019  0.9005  0.7999
W  0.5000  0.5000  0.0000
O  0.0018  0.7495  0.4990
O  0.0707  0.8531  0.2117
O  0.0939  0.8246  0.7003
O  0.1080  0.3770  0.6981
O  0.1165  0.3465  0.1887
O  0.1983  0.9491  0.8984
O  0.2102  0.4512  0.9026
O  0.2774  0.0550  0.6105
O  0.2918  0.0263  0.1065
O  0.3004  0.5786  0.0973
O  0.3214  0.5451  0.5891
O  0.3980  0.6496  0.2999
O  0.4020  0.1510  0.3021
O  0.4767  0.2686  0.0120
O  0.4963  0.2252  0.5040
O  0.5037  0.7748  0.4960
O  0.5233  0.7314  0.9880
O  0.5980  0.8490  0.6979
O  0.6020  0.3504  0.7001
O  0.6786  0.4549  0.4109
O  0.6996  0.4214  0.9027
O  0.7082  0.9737  0.8935
O  0.7226  0.9450  0.3895
O  0.7898  0.5488  0.0974
O  0.8017  0.0509  0.1016
O  0.8835  0.6535  0.8113
O  0.8920  0.6230  0.3019
O  0.9061  0.1754  0.2997
O  0.9293  0.1469  0.7883
O  0.9982  0.2505  0.5010

Principal peaks in the range 2θ = 10–90°, sorted by position:
- 19.2°, I 22
- 31.3°, I 99
- 31.6°, I 97
- 31.7°, I 100
- 44.7°, I 36
- 45.0°, I 34
- 45.8°, I 32
- 55.9°, I 40
- 56.0°, I 29
- 56.6°, I 38

=====

2.
This entry pairs a crystal structure of BaMo2P4O16 with its simulated powder diffraction line list. Radiation: a wavelength of 1.5418 Å. Structure: a structure optimized by DFT (PBE+U).

Unit cell a=8.1390 b=8.0421 c=12.5170 alpha=90.00 beta=128.82 gamma=90.00
Fractional positions:
Ba  0.0000  0.0000  0.0000
Ba  0.0000  0.5000  0.5000
Mo  0.3817  0.2241  0.8371
Mo  0.3817  0.2759  0.3371
Mo  0.6183  0.7241  0.6629
Mo  0.6183  0.7759  0.1629
P  0.0346  0.6031  0.2094
P  0.0346  0.8969  0.7094
P  0.3453  0.0923  0.5662
P  0.3453  0.4077  0.0662
P  0.6547  0.5923  0.9338
P  0.6547  0.9077  0.4338
P  0.9654  0.1031  0.2906
P  0.9654  0.3969  0.7906
O  0.0889  0.1431  0.2366
O  0.0889  0.3569  0.7366
O  0.1094  0.7494  0.1773
O  0.1094  0.7506  0.6773
O  0.1393  0.0011  0.4362
O  0.1393  0.4989  0.9362
O  0.2027  0.0267  0.8081
O  0.2027  0.4733  0.3081
O  0.2807  0.1954  0.6390
O  0.2807  0.3046  0.1390
O  0.3813  0.6233  0.5807
O  0.3813  0.8767  0.0807
O  0.4234  0.2127  0.5117
O  0.4234  0.2873  0.0117
O  0.4974  0.0431  0.3391
O  0.4974  0.4569  0.8391
O  0.5026  0.5431  0.1609
O  0.5026  0.9569  0.6609
O  0.5766  0.7127  0.9883
O  0.5766  0.7873  0.4883
O  0.6187  0.1233  0.9193
O  0.6187  0.3767  0.4193
O  0.7193  0.6954  0.8610
O  0.7193  0.8046  0.3610
O  0.7973  0.5267  0.6919
O  0.7973  0.9733  0.1919
O  0.8607  0.5011  0.0638
O  0.8607  0.9989  0.5638
O  0.8906  0.2494  0.3227
O  0.8906  0.2506  0.8227
O  0.9111  0.6431  0.2634
O  0.9111  0.8569  0.7634

Principal peaks in the range 2θ = 10–90°, sorted by position:
- 17.8°, I 87
- 18.1°, I 37
- 21.3°, I 58
- 23.7°, I 44
- 24.7°, I 45
- 26.2°, I 74
- 26.4°, I 100
- 28.8°, I 34
- 29.9°, I 64
- 30.3°, I 48

=====

3.
This entry pairs a crystal structure of Mn6O5F7 with its simulated powder diffraction line list. Radiation: a wavelength of 1.5418 Å. Structure: a structure optimized by DFT (PBE+U).

Unit cell a=4.7308 b=5.7270 c=7.8789 alpha=86.53 beta=88.82 gamma=88.82
Fractional positions:
Mn  0.0000  0.0000  0.0000
Mn  0.0011  0.3226  0.6679
Mn  0.5013  0.5051  0.0124
Mn  0.5262  0.8468  0.6897
Mn  0.5639  0.1635  0.3377
Mn  0.9851  0.6692  0.3611
O  0.3249  0.8002  0.9130
O  0.7041  0.2154  0.1050
O  0.7061  0.8641  0.4589
O  0.8228  0.3781  0.4530
O  0.8242  0.0432  0.7747
F  0.1875  0.9610  0.2420
F  0.2139  0.3080  0.8905
F  0.2229  0.6265  0.5947
F  0.2990  0.4761  0.2500
F  0.3264  0.1416  0.5583
F  0.7208  0.5366  0.7872
F  0.8066  0.6994  0.1157

Principal peaks in the range 2θ = 10–90°, sorted by position:
- 26.2°, I 100
- 26.9°, I 94
- 34.1°, I 55
- 34.2°, I 47
- 38.9°, I 20
- 51.4°, I 17
- 51.5°, I 30
- 53.9°, I 17
- 58.6°, I 20
- 66.1°, I 20

=====

4.
This entry pairs a crystal structure of CaW2O4 with its simulated powder diffraction line list. Radiation: a wavelength of 1.5418 Å. Structure: a structure optimized by DFT (PBE+U).

Unit cell a=5.5733 b=5.5733 c=10.5129 alpha=90.00 beta=90.00 gamma=146.00
Fractional positions:
Ca  0.1152  0.8848  0.7500
Ca  0.8848  0.1152  0.2500
W  0.3676  0.6324  0.5715
W  0.3676  0.6324  0.9285
W  0.6324  0.3676  0.0715
W  0.6324  0.3676  0.4285
O  0.0000  0.0000  0.0000
O  0.0000  0.0000  0.5000
O  0.2633  0.7367  0.1104
O  0.2633  0.7367  0.3896
O  0.4659  0.5341  0.7500
O  0.5341  0.4659  0.2500
O  0.7367  0.2633  0.6104
O  0.7367  0.2633  0.8896

Principal peaks in the range 2θ = 10–90°, sorted by position:
- 16.9°, I 50
- 18.7°, I 30
- 28.6°, I 37
- 29.9°, I 23
- 30.5°, I 100
- 33.4°, I 25
- 33.6°, I 30
- 37.4°, I 31
- 38.7°, I 30
- 41.3°, I 33

=====

5.
This entry pairs a crystal structure of Ni4P3O12 with its simulated powder diffraction line list. Radiation: a wavelength of 1.5418 Å. Structure: a structure optimized by DFT (PBE+U).

Unit cell a=10.3050 b=10.3050 c=10.3050 alpha=142.60 beta=142.60 gamma=53.93
Fractional positions:
Ni  0.1282  0.1250  0.5032
Ni  0.2270  0.2270  0.0000
Ni  0.3750  0.8718  0.9968
Ni  0.5230  0.0230  0.5000
Ni  0.6218  0.6250  0.4968
Ni  0.7730  0.7730  0.0000
Ni  0.8750  0.3782  0.0032
Ni  0.9770  0.4770  0.5000
P  0.0000  0.0000  0.0000
P  0.2249  0.6250  0.0999
P  0.3750  0.4749  0.5999
P  0.5251  0.1250  0.9001
P  0.7500  0.2500  0.5000
P  0.8750  0.7751  0.4001
O  0.0140  0.1517  0.2515
O  0.0786  0.7933  0.1637
O  0.0852  0.9214  0.7148
O  0.1204  0.4567  0.7852
O  0.2067  0.3704  0.2852
O  0.2375  0.9860  0.1377
O  0.2663  0.5627  0.7066
O  0.3097  0.1061  0.7934
O  0.3127  0.5163  0.2066
O  0.4373  0.1439  0.7035
O  0.4403  0.7337  0.2965
O  0.4837  0.6903  0.7965
O  0.5125  0.1502  0.2485
O  0.5433  0.3286  0.6637
O  0.6296  0.9148  0.8363
O  0.6648  0.8796  0.3363
O  0.6714  0.3352  0.2148
O  0.7360  0.4875  0.6377
O  0.8483  0.0998  0.8623
O  0.8498  0.0983  0.3623
O  0.8561  0.5597  0.2934
O  0.8939  0.6873  0.2035
O  0.9002  0.7625  0.7485
O  0.9017  0.2640  0.7515

Principal peaks in the range 2θ = 10–90°, sorted by position:
- 21.3°, I 39
- 27.8°, I 22
- 30.6°, I 17
- 33.4°, I 100
- 38.5°, I 10
- 44.5°, I 21
- 53.1°, I 13
- 55.6°, I 15
- 56.1°, I 25
- 66.5°, I 14

=====

6.
This entry pairs a crystal structure of Li3NiPCO7 with its simulated powder diffraction line list. Radiation: a wavelength of 1.5418 Å. Structure: a structure optimized by DFT (PBE+U).

Unit cell a=4.9452 b=8.3502 c=12.8356 alpha=90.41 beta=90.10 gamma=94.80
Fractional positions:
Li  0.0000  0.0000  0.0000
Li  0.0003  0.0000  0.4931
Li  0.4525  0.4466  0.4909
Li  0.4649  0.2003  0.2506
Li  0.4690  0.1963  0.7463
Li  0.4771  0.8176  0.6038
Li  0.4799  0.8188  0.3836
Li  0.4796  0.8194  0.8850
Li  0.4825  0.8227  0.1159
Li  0.9847  0.3716  0.8692
Li  0.9875  0.3778  0.1353
Li  0.9991  0.3792  0.3626
Ni  0.0263  0.7652  0.2472
Ni  0.0273  0.7658  0.7460
Ni  0.4425  0.4314  0.9977
Ni  0.9853  0.3650  0.6182
P  0.5051  0.5115  0.7454
P  0.5110  0.5121  0.2471
P  0.9483  0.6861  0.4985
P  0.9541  0.6843  0.9959
C  0.5291  0.1396  0.5046
C  0.5310  0.1380  0.9952
C  0.9366  0.0580  0.2466
C  0.9397  0.0602  0.7445
O  0.0556  0.7887  0.9018
O  0.0567  0.5173  0.4983
O  0.0576  0.7910  0.0893
O  0.0611  0.7866  0.4044
O  0.0606  0.7922  0.5919
O  0.0639  0.5170  0.9955
O  0.1861  0.0217  0.2469
O  0.1871  0.0239  0.7468
O  0.2802  0.1719  0.5031
O  0.2823  0.1753  0.9952
O  0.3858  0.4079  0.6535
O  0.4019  0.6800  0.2459
O  0.4075  0.6815  0.7494
O  0.4081  0.4067  0.1520
O  0.4124  0.4084  0.3403
O  0.4183  0.4077  0.8413
O  0.5920  0.9904  0.9963
O  0.5958  0.9927  0.4960
O  0.6360  0.6694  0.4991
O  0.6382  0.6605  0.9953
O  0.7231  0.2555  0.5115
O  0.7226  0.2549  0.9942
O  0.7462  0.9471  0.7483
O  0.7471  0.9400  0.2459
O  0.8243  0.5295  0.7358
O  0.8280  0.5372  0.2453
O  0.8740  0.2054  0.2471
O  0.8794  0.2103  0.7398

Principal peaks in the range 2θ = 10–90°, sorted by position:
- 10.6°, I 98
- 20.2°, I 23
- 21.7°, I 34
- 22.8°, I 23
- 25.9°, I 29
- 26.9°, I 35
- 27.8°, I 100
- 36.5°, I 32
- 37.2°, I 32
- 57.4°, I 24

=====

7.
This entry pairs a crystal structure of Li8MnNi7O16 with its simulated powder diffraction line list. Radiation: a wavelength of 1.5418 Å. Structure: a structure optimized by DFT (PBE+U).

Unit cell a=6.5185 b=6.6146 c=7.6071 alpha=64.59 beta=75.45 gamma=72.57
Fractional positions:
Li  0.0570  0.4381  0.1879
Li  0.1946  0.3073  0.5627
Li  0.3126  0.1850  0.9338
Li  0.4329  0.0593  0.3103
Li  0.5671  0.9407  0.6897
Li  0.6874  0.8150  0.0662
Li  0.8054  0.6927  0.4373
Li  0.9430  0.5619  0.8121
Mn  0.5000  0.5000  0.0000
Ni  0.0000  0.0000  0.5000
Ni  0.1216  0.8786  0.8737
Ni  0.2508  0.7515  0.2504
Ni  0.3762  0.6249  0.6257
Ni  0.6238  0.3751  0.3743
Ni  0.7492  0.2485  0.7496
Ni  0.8784  0.1214  0.1263
O  0.0200  0.2094  0.8644
O  0.1018  0.6815  0.5349
O  0.1386  0.0868  0.2331
O  0.2417  0.5346  0.8984
O  0.2499  0.9712  0.6037
O  0.3644  0.4109  0.2731
O  0.4057  0.8225  0.9660
O  0.4784  0.2887  0.6358
O  0.5216  0.7113  0.3642
O  0.5943  0.1775  0.0340
O  0.6356  0.5891  0.7269
O  0.7501  0.0288  0.3963
O  0.7583  0.4654  0.1016
O  0.8614  0.9132  0.7669
O  0.8982  0.3185  0.4651
O  0.9800  0.7906  0.1356

Principal peaks in the range 2θ = 10–90°, sorted by position:
- 18.5°, I 100
- 35.7°, I 16
- 36.5°, I 14
- 36.6°, I 13
- 43.2°, I 26
- 44.1°, I 24
- 44.5°, I 23
- 63.3°, I 7
- 63.7°, I 7
- 63.9°, I 13

=====

8.
This entry pairs a crystal structure of Cr9O13 with its simulated powder diffraction line list. Radiation: a wavelength of 1.5418 Å. Structure: a structure optimized by DFT (PBE+U).

Unit cell a=5.2448 b=5.2448 c=17.1390 alpha=98.65 beta=98.65 gamma=33.45
Fractional positions:
Cr  0.0000  0.0000  0.0000
Cr  0.1448  0.1448  0.5408
Cr  0.2477  0.2477  0.9186
Cr  0.4408  0.4408  0.6314
Cr  0.4926  0.4926  0.8262
Cr  0.5074  0.5074  0.1737
Cr  0.5592  0.5592  0.3686
Cr  0.7523  0.7523  0.0814
Cr  0.8552  0.8552  0.4592
O  0.0622  0.0622  0.6352
O  0.1133  0.1133  0.8246
O  0.1264  0.1264  0.1075
O  0.2183  0.2183  0.4332
O  0.3601  0.3601  0.0358
O  0.3898  0.3898  0.7287
O  0.5000  0.5000  0.5000
O  0.6102  0.6102  0.2713
O  0.6399  0.6399  0.9642
O  0.7817  0.7817  0.5668
O  0.8736  0.8736  0.8925
O  0.8867  0.8867  0.1754
O  0.9378  0.9378  0.3648

Principal peaks in the range 2θ = 10–90°, sorted by position:
- 10.5°, I 100
- 17.9°, I 18
- 19.3°, I 19
- 34.0°, I 35
- 34.3°, I 31
- 40.7°, I 21
- 41.4°, I 18
- 42.0°, I 26
- 43.8°, I 26
- 61.4°, I 16